Structure and simulated powder X-ray diffraction pattern of Sm4HgPd12 (a cell relaxed with PBE; Cu Kα (weighted mean of Kα1 and Kα2)).

Main lines, low angle first (2θ = 10–90°):
Position (°2θ)  d [Å]  I_rel
29.20  3.059  24
35.96  2.498  100
38.95  2.312  27
41.76  2.163  76
60.54  1.529  41
72.46  1.304  25

Cell: 8.6518 8.6518 8.6518 Å, 90.00 90.00 90.00°
Space group Im-3m (No. 229)
One atom of each set of equivalent atoms:
Sm: 0.2500 0.2500 0.2500
Hg: 0.0000 0.0000 0.0000
Pd: 0.0000 0.0000 0.3057
Pd: 0.0000 0.2500 0.5000